No. 1
Structure and computed X-ray diffraction stick pattern of Zr2Te4Br2O11 (a structure optimized by DFT (GGA-PBE); Cu Kα).
Neutral-atom scattering factors, no anomalous dispersion.

Cell and atoms:
```
data_Zr2Te4Br2O11
_cell_length_a 7.955
_cell_length_b 10.284
_cell_length_c 10.923
_cell_angle_alpha 114.60
_cell_angle_beta 109.06
_cell_angle_gamma 96.33
_space_group_name_H-M_alt 'P -1'
_space_group_IT_number 2
_space_group_name_Hall '-P 1'
loop_
_atom_site_label
_atom_site_type_symbol
_atom_site_fract_x
_atom_site_fract_y
_atom_site_fract_z
_atom_site_occupancy
Zr1 Zr 0.113 0.390 0.382 1
Zr2 Zr 0.375 0.109 0.108 1
Te1 Te 0.001 0.754 0.997 1
Te2 Te 0.197 0.004 0.737 1
Te3 Te 0.273 0.530 0.795 1
Te4 Te 0.466 0.742 0.471 1
Br1 Br 0.127 0.897 0.378 1
Br2 Br 0.363 0.609 0.109 1
O1 O 0.047 0.814 0.663 1
O2 O 0.087 0.635 0.832 1
O3 O 0.123 0.509 0.602 1
O4 O 0.156 0.111 0.917 1
O5 O 0.176 0.248 0.177 1
O6 O 0.191 0.923 0.064 1
O7 O 0.266 0.577 0.402 1
O8 O 0.345 0.354 0.512 1
O9 O 0.400 0.993 0.890 1
O10 O 0.464 0.691 0.854 1
O11 O 0.495 0.838 0.670 1
```

Most intense lines, 10 to 90 degrees two-theta, most intense first:
| 2theta | I_rel | index |
| --- | --- | --- |
| 26.9 | 100 | 1 0 -3 |
| 22.3 | 99 | 1 2 -1 |
| 32.0 | 30 | 1 -2 3 |
| 36.1 | 19 | 2 2 -4 |
| 34.5 | 18 | 3 0 -1 |
| 36.0 | 17 | 1 -4 1 |
| 45.4 | 17 | 2 4 -2 |
| 34.3 | 17 | 0 2 2 |



No. 2
Structure and computed X-ray diffraction stick pattern of Tl3BrO2 (a structure optimized by DFT (GGA-PBE); Cu Kα).
Neutral-atom scattering factors, no anomalous dispersion.

Cell and atoms:
```
data_Tl3BrO2
_cell_length_a 6.887
_cell_length_b 4.042
_cell_length_c 11.417
_cell_angle_alpha 90.00
_cell_angle_beta 98.92
_cell_angle_gamma 90.00
_space_group_name_H-M_alt 'P 1 21/m 1'
_space_group_IT_number 11
_space_group_name_Hall '-P 2yb'
loop_
_atom_site_label
_atom_site_type_symbol
_atom_site_fract_x
_atom_site_fract_y
_atom_site_fract_z
_atom_site_occupancy
Tl1 Tl 0.015 0.250 0.348 1
Tl2 Tl 0.467 0.250 0.622 1
Tl3 Tl 0.476 0.750 0.118 1
Br1 Br 0.067 0.750 0.151 1
O1 O 0.365 0.250 0.426 1
O2 O 0.413 0.750 0.916 1
```

Most intense lines, 10 to 90 degrees two-theta, most intense first:
| 2theta | I_rel | index |
| --- | --- | --- |
| 26.2 | 100 | 2 0 0 |
| 31.7 | 30 | 0 0 4 |
| 44.8 | 24 | 0 2 0 |
| 45.5 | 22 | 3 1 -1 |
| 36.6 | 17 | 1 1 3 |
| 27.1 | 16 | 0 1 2 |
| 38.2 | 15 | 2 0 -4 |
| 52.7 | 15 | 2 2 0 |



No. 3
Structure and computed X-ray diffraction stick pattern of Tl4Br3O (a structure optimized by DFT (GGA-PBE); Cu Kα).
Neutral-atom scattering factors, no anomalous dispersion.

Cell and atoms:
```
data_Tl4Br3O
_cell_length_a 8.630
_cell_length_b 10.161
_cell_length_c 6.979
_cell_angle_alpha 90.00
_cell_angle_beta 90.00
_cell_angle_gamma 90.00
_space_group_name_H-M_alt 'P m n 21'
_space_group_IT_number 31
_space_group_name_Hall 'P 2ac -2'
loop_
_atom_site_label
_atom_site_type_symbol
_atom_site_fract_x
_atom_site_fract_y
_atom_site_fract_z
_atom_site_occupancy
Tl1 Tl 0.000 0.022 0.000 1
Tl2 Tl 0.000 0.770 0.407 1
Tl3 Tl 0.248 0.325 0.502 1
Br1 Br 0.000 0.057 0.497 1
Br2 Br 0.201 0.337 0.014 1
O1 O 0.000 0.780 0.082 1
```

Most intense lines, 10 to 90 degrees two-theta, most intense first:
| 2theta | I_rel | index |
| --- | --- | --- |
| 25.5 | 100 | 0 0 2 |
| 22.4 | 96 | 2 1 0 |
| 25.8 | 72 | 2 1 1 |
| 34.2 | 61 | 2 1 2 |
| 26.3 | 51 | 0 3 0 |
| 37.0 | 48 | 0 3 2 |
| 49.6 | 42 | 4 0 2 |
| 37.6 | 41 | 2 2 2 |



No. 4
Structure and computed X-ray diffraction stick pattern of Tm2BrO3 (a structure optimized by DFT (GGA-PBE); Cu Kα).
Neutral-atom scattering factors, no anomalous dispersion.

Cell and atoms:
```
data_Tm2BrO3
_cell_length_a 12.503
_cell_length_b 3.747
_cell_length_c 9.223
_cell_angle_alpha 90.00
_cell_angle_beta 113.79
_cell_angle_gamma 90.00
_space_group_name_H-M_alt 'C 1 2/m 1'
_space_group_IT_number 12
_space_group_name_Hall '-C 2y'
loop_
_atom_site_label
_atom_site_type_symbol
_atom_site_fract_x
_atom_site_fract_y
_atom_site_fract_z
_atom_site_occupancy
Tm1 Tm 0.019 0.000 0.266 1
Tm2 Tm 0.160 0.500 0.065 1
Br1 Br 0.121 0.500 0.585 1
O1 O 0.013 0.500 0.153 1
O2 O 0.157 0.000 0.915 1
O3 O 0.186 0.000 0.235 1
```

Most intense lines, 10 to 90 degrees two-theta, most intense first:
| 2theta | I_rel | index |
| --- | --- | --- |
| 30.8 | 100 | 1 1 -2 |
| 33.5 | 49 | 3 1 0 |
| 29.8 | 40 | 4 0 -2 |
| 31.0 | 38 | 2 0 2 |
| 10.5 | 30 | 0 0 1 |
| 58.1 | 22 | 4 2 -2 |
| 53.2 | 20 | 1 1 4 |
| 51.7 | 19 | 5 1 -4 |